Structure and theoretical powder XRD pattern of Ti2Sn (a GGA-PBE-relaxed structure; CuKα).

Top 10 peaks for 10° ≤ 2θ ≤ 90°, in order of rising 2θ:
d (Å), intensity
4.116, 11.4
3.325, 41.7
2.821, 17.0
2.377, 100.0
2.327, 69.6
1.818, 29.0
1.663, 23.7
1.372, 16.9
1.362, 23.9
1.213, 22.7

Lattice parameters (Å, degrees): 4.753 4.753 5.642 90.00 90.00 120.00
Atoms (fractional coordinates):
Ti 0.000 0.000 0.000
Ti 0.000 0.000 0.500
Ti 0.333 0.667 0.250
Ti 0.667 0.333 0.750
Sn 0.333 0.667 0.750
Sn 0.667 0.333 0.250

Structure and theoretical powder XRD pattern of TbCoC2 (a GGA-PBE-relaxed structure; CuKα).

Top 10 peaks for 10° ≤ 2θ ≤ 90°, in order of rising 2θ:
d (Å), intensity
3.607, 40.8
3.003, 21.0
2.548, 100.0
2.306, 25.6
2.257, 18.1
1.830, 18.5
1.804, 13.2
1.800, 11.1
1.612, 21.8
1.353, 12.8

Lattice parameters (Å, degrees): 3.600 3.757 3.757 73.85 90.00 90.00
Atoms (fractional coordinates):
Tb 0.000 0.000 0.000
Co 0.500 0.383 0.383
C 0.500 0.541 0.847
C 0.500 0.847 0.541

Structure and theoretical powder XRD pattern of NiH2C2N4 (a GGA-PBE-relaxed structure; CuKα).

Top 10 peaks for 10° ≤ 2θ ≤ 90°, in order of rising 2θ:
d (Å), intensity
5.280, 100.0
4.296, 18.2
2.971, 38.8
2.808, 11.0
2.635, 19.6
2.271, 40.8
1.819, 8.5
1.741, 9.1
1.700, 13.3
1.403, 10.7

Lattice parameters (Å, degrees): 6.693 8.593 3.315 90.00 90.00 90.00
Atoms (fractional coordinates):
Ni 0.000 0.000 0.000
Ni 0.500 0.500 0.500
H 0.212 0.437 0.000
H 0.288 0.937 0.500
H 0.712 0.063 0.500
H 0.788 0.563 0.000
C 0.181 0.663 0.000
C 0.319 0.163 0.500
C 0.681 0.837 0.500
C 0.819 0.337 0.000
N 0.092 0.781 0.000
N 0.207 0.038 0.500
N 0.293 0.538 0.000
N 0.408 0.281 0.500
N 0.592 0.719 0.500
N 0.707 0.462 0.000
N 0.793 0.962 0.500
N 0.908 0.219 0.000

Structure and theoretical powder XRD pattern of CdP3NO9 (a GGA-PBE-relaxed structure; CuKα).

Top 10 peaks for 10° ≤ 2θ ≤ 90°, in order of rising 2θ:
d (Å), intensity
5.974, 86.4
3.969, 100.0
3.281, 22.9
2.987, 13.6
2.893, 58.0
2.604, 18.9
2.258, 15.0
2.104, 13.8
1.985, 15.6
1.720, 23.2

Lattice parameters (Å, degrees): 6.898 6.898 10.622 90.00 90.00 120.00
Atoms (fractional coordinates):
Cd 0.000 0.000 0.000
Cd 0.000 0.000 0.500
P 0.395 0.112 0.250
P 0.395 0.283 0.750
P 0.717 0.112 0.750
P 0.717 0.605 0.250
P 0.888 0.283 0.250
P 0.888 0.605 0.750
N 0.333 0.667 0.000
N 0.333 0.667 0.500
O 0.274 0.011 0.129
O 0.274 0.011 0.371
O 0.274 0.262 0.629
O 0.274 0.262 0.871
O 0.480 0.103 0.750
O 0.480 0.377 0.250
O 0.623 0.103 0.250
O 0.623 0.520 0.750
O 0.738 0.011 0.629
O 0.738 0.011 0.871
O 0.738 0.726 0.129
O 0.738 0.726 0.371
O 0.897 0.377 0.750
O 0.897 0.520 0.250
O 0.989 0.262 0.129
O 0.989 0.262 0.371
O 0.989 0.726 0.629
O 0.989 0.726 0.871

Structure and theoretical powder XRD pattern of Lu2CuB4O10 (a GGA-PBE-relaxed structure; CuKα).

Top 10 peaks for 10° ≤ 2θ ≤ 90°, in order of rising 2θ:
d (Å), intensity
4.561, 100.0
3.907, 34.2
3.360, 42.5
2.967, 48.0
2.847, 43.3
2.705, 87.8
2.415, 89.6
1.933, 31.9
1.887, 30.9
1.780, 41.1

Lattice parameters (Å, degrees): 4.561 7.206 9.298 90.00 90.08 90.00
Atoms (fractional coordinates):
Lu 0.002 0.102 0.164
Lu 0.002 0.398 0.664
Lu 0.998 0.602 0.336
Lu 0.998 0.898 0.836
Cu 0.000 0.000 0.500
Cu 0.000 0.500 0.000
B 0.461 0.730 0.579
B 0.461 0.770 0.079
B 0.471 0.098 0.665
B 0.471 0.402 0.165
B 0.529 0.598 0.835
B 0.529 0.902 0.335
B 0.539 0.230 0.921
B 0.539 0.270 0.421
O 0.212 0.590 0.831
O 0.212 0.910 0.331
O 0.227 0.609 0.540
O 0.227 0.891 0.040
O 0.322 0.590 0.139
O 0.322 0.910 0.639
O 0.339 0.162 0.804
O 0.339 0.338 0.304
O 0.357 0.224 0.551
O 0.357 0.276 0.051
O 0.643 0.724 0.949
O 0.643 0.776 0.449
O 0.661 0.662 0.696
O 0.661 0.838 0.196
O 0.678 0.090 0.361
O 0.678 0.410 0.861
O 0.773 0.109 0.960
O 0.773 0.391 0.460
O 0.788 0.090 0.669
O 0.788 0.410 0.169

Structure and theoretical powder XRD pattern of Sr2GaBiO6 (a GGA-PBE-relaxed structure; CuKα).

Top 10 peaks for 10° ≤ 2θ ≤ 90°, in order of rising 2θ:
d (Å), intensity
4.727, 19.4
4.094, 12.6
2.895, 100.0
2.469, 13.2
2.047, 31.5
1.878, 6.6
1.671, 40.7
1.447, 19.5
1.295, 18.0
1.094, 22.6

Lattice parameters (Å, degrees): 5.790 5.790 5.790 60.00 60.00 60.00
Atoms (fractional coordinates):
Sr 0.250 0.250 0.250
Sr 0.750 0.750 0.750
Ga 0.000 0.000 0.000
Bi 0.500 0.500 0.500
O 0.243 0.243 0.757
O 0.243 0.757 0.243
O 0.243 0.757 0.757
O 0.757 0.243 0.243
O 0.757 0.243 0.757
O 0.757 0.757 0.243

Structure and theoretical powder XRD pattern of LaMg (a GGA-PBE-relaxed structure; CuKα).

Top 10 peaks for 10° ≤ 2θ ≤ 90°, in order of rising 2θ:
d (Å), intensity
5.035, 28.0
4.494, 28.1
3.332, 16.1
3.036, 26.7
2.876, 26.5
2.685, 100.0
2.087, 14.3
1.753, 17.8
1.620, 13.6
1.467, 10.4

Lattice parameters (Å, degrees): 6.075 6.075 6.749 116.94 116.94 59.94
Atoms (fractional coordinates):
La 0.000 0.000 0.000
La 0.488 0.195 0.508
La 0.805 0.512 0.492
Mg 0.151 0.849 0.500
Mg 0.316 0.346 0.001
Mg 0.654 0.684 0.999

What did the sixth record say?
Structure and theoretical powder XRD pattern of Sr2GaBiO6 (a GGA-PBE-relaxed structure; CuKα).

Top 10 peaks for 10° ≤ 2θ ≤ 90°, in order of rising 2θ:
d (Å), intensity
4.727, 19.4
4.094, 12.6
2.895, 100.0
2.469, 13.2
2.047, 31.5
1.878, 6.6
1.671, 40.7
1.447, 19.5
1.295, 18.0
1.094, 22.6

Lattice parameters (Å, degrees): 5.790 5.790 5.790 60.00 60.00 60.00
Atoms (fractional coordinates):
Sr 0.250 0.250 0.250
Sr 0.750 0.750 0.750
Ga 0.000 0.000 0.000
Bi 0.500 0.500 0.500
O 0.243 0.243 0.757
O 0.243 0.757 0.243
O 0.243 0.757 0.757
O 0.757 0.243 0.243
O 0.757 0.243 0.757
O 0.757 0.757 0.243